Structure and simulated XRD peak list of Li2HfO4 (a structure optimized by DFT (PBE); copper Kα).
Lines closer than 0.1° are merged.

Peak list (10 most intense, 15 to 90 degrees two-theta, in order of rising 2θ)
2θ/deg, I/Imax, (hkl)
17.98, 93, 1 1 1
29.57, 100, 2 2 0
34.83, 69, 3 1 1
46.32, 30, 3 3 1
52.47, 41, 4 2 2
55.92, 26, 5 1 1
61.39, 23, 4 4 0
64.53, 19, 5 3 1
69.60, 17, 6 2 0
84.95, 21, 6 4 2

Crystal structure
Cell lengths 8.543, 8.543, 8.543 Å; angles 90.00, 90.00, 90.00 degrees
Space group Fd-3m (No. 227, origin choice 2)
Symmetry-distinct sites (fractional):
Li 0.000 0.000 0.000 (multiplicity 16)
Hf 0.125 0.125 0.625 (multiplicity 8)
O 0.007 0.007 0.243 (multiplicity 32)

=====

Structure and simulated XRD peak list of La2Ag (a structure optimized by DFT (PBE); copper Kα).
Lines closer than 0.1° are merged.

Peak list (10 most intense, 15 to 90 degrees two-theta, in order of rising 2θ)
2θ/deg, I/Imax, (hkl)
17.01, 12, 1 1 1
27.96, 21, 2 2 0
32.91, 100, 3 1 1
34.42, 47, 2 2 2
49.47, 8, 4 2 2
52.69, 34, 5 1 1
57.78, 31, 4 4 0
68.11, 12, 5 3 3
69.01, 18, 6 2 2
81.99, 21, 7 3 1

Crystal structure
Cell lengths 9.027, 9.027, 9.027 Å; angles 90.00, 90.00, 90.00 degrees
Space group Fd-3m (No. 227, origin choice 2)
Symmetry-distinct sites (fractional):
La 0.000 0.000 0.000 (multiplicity 16)
Ag 0.125 0.125 0.625 (multiplicity 8)